Record 1
Structure and calculated X-ray diffraction stick pattern of K3NaAs2Pt2 (a crystal structure in OQMD, relaxed with PBE; a wavelength of 1.5418 Å).
Peak positions follow from Bragg's law for the DFT cell and can differ from measured ones.

The 10 most intense peaks (10 to 80 degrees two-theta), low angle first:
14.6°, 6.067 Å, I 93; 15.0°, 5.907 Å, I 86; 17.8°, 4.994 Å, I 100; 29.1°, 3.073 Å, I 28; 29.7°, 3.010 Å, I 36; 34.3°, 2.611 Å, I 37; 34.5°, 2.598 Å, I 37; 35.9°, 2.500 Å, I 39; 39.4°, 2.288 Å, I 50; 43.2°, 2.093 Å, I 28

Structural model:
```
data_K3NaAs2Pt2
_cell_length_a 6.1569
_cell_length_b 5.7847
_cell_length_c 6.3234
_cell_angle_alpha 90.00
_cell_angle_beta 106.37
_cell_angle_gamma 90.00
_symmetry_space_group_name_H-M 'P 1 m 1'
_symmetry_Int_Tables_number 6
loop_
_symmetry_equiv_pos_as_xyz
'x,y,z'
'x,-y,z'
loop_
_atom_site_label
_atom_site_type_symbol
_atom_site_fract_x
_atom_site_fract_y
_atom_site_fract_z
K1 K 0.0000 0.0000 0.0000
K2 K 0.0539 0.5000 0.3417
K3 K 0.6882 0.5000 0.6777
Na1 Na 0.3694 0.0000 0.6906
As1 As 0.2550 0.5000 0.9015
As2 As 0.7488 0.0000 0.4369
Pt1 Pt 0.5380 0.2477 0.1367
```

Record 2
Structure and calculated X-ray diffraction stick pattern of Li3LuO4 (a crystal structure in OQMD, relaxed with PBE; a wavelength of 1.5418 Å).
Peak positions follow from Bragg's law for the DFT cell and can differ from measured ones.

The 10 most intense peaks (10 to 80 degrees two-theta), low angle first:
17.4°, 5.093 Å, I 29; 18.6°, 4.762 Å, I 100; 20.0°, 4.436 Å, I 28; 28.1°, 3.179 Å, I 28; 30.5°, 2.934 Å, I 23; 34.1°, 2.630 Å, I 23; 34.3°, 2.618 Å, I 40; 42.1°, 2.147 Å, I 52; 42.7°, 2.117 Å, I 28; 47.1°, 1.930 Å, I 19

Structural model:
```
data_Li3LuO4
_cell_length_a 5.0367
_cell_length_b 12.2087
_cell_length_c 5.3871
_cell_angle_alpha 90.00
_cell_angle_beta 109.03
_cell_angle_gamma 90.00
_symmetry_space_group_name_H-M 'P 1 2 1'
_symmetry_Int_Tables_number 3
loop_
_symmetry_equiv_pos_as_xyz
'x,y,z'
'-x,y,-z'
loop_
_atom_site_label
_atom_site_type_symbol
_atom_site_fract_x
_atom_site_fract_y
_atom_site_fract_z
Li1 Li 0.0000 0.0000 0.0000
Li2 Li 0.0000 0.0992 0.5000
Li3 Li 0.0000 0.2226 0.0000
Li4 Li 0.0000 0.3632 0.5000
Li5 Li 0.0000 0.4718 0.0000
Li6 Li 0.0000 0.5848 0.5000
Li7 Li 0.0000 0.7050 0.0000
Li8 Li 0.0000 0.8423 0.5000
Li9 Li 0.5000 0.1062 0.0000
Li10 Li 0.5000 0.3587 0.0000
Li11 Li 0.5000 0.4723 0.5000
Li12 Li 0.5000 0.5870 0.0000
Lu1 Lu 0.5000 0.2381 0.5000
Lu2 Lu 0.5000 0.7036 0.5000
Lu3 Lu 0.5000 0.8445 0.0000
Lu4 Lu 0.5000 0.9792 0.5000
O1 O 0.2338 0.2384 0.7510
O2 O 0.2392 0.3618 0.2434
O3 O 0.2433 0.5825 0.2423
O4 O 0.2431 0.7132 0.7552
O5 O 0.2452 0.9743 0.7573
O6 O 0.2555 0.1078 0.2553
O7 O 0.2587 0.8403 0.2678
O8 O 0.2737 0.4708 0.7419
```

Record 3
Structure and calculated X-ray diffraction stick pattern of CdBiPO (a crystal structure in OQMD, relaxed with PBE; a wavelength of 1.5418 Å).
Peak positions follow from Bragg's law for the DFT cell and can differ from measured ones.

The 10 most intense peaks (10 to 80 degrees two-theta), low angle first:
20.4°, 4.359 Å, I 37; 24.9°, 3.570 Å, I 34; 26.6°, 3.357 Å, I 100; 28.8°, 3.103 Å, I 82; 28.8°, 3.095 Å, I 40; 30.9°, 2.893 Å, I 53; 35.3°, 2.546 Å, I 93; 43.5°, 2.080 Å, I 37; 47.0°, 1.933 Å, I 34; 56.1°, 1.640 Å, I 39

Structural model:
```
data_CdBiPO
_cell_length_a 9.8728
_cell_length_b 18.5686
_cell_length_c 3.8669
_cell_angle_alpha 90.00
_cell_angle_beta 90.00
_cell_angle_gamma 90.00
_symmetry_space_group_name_H-M 'P b a m'
_symmetry_Int_Tables_number 55
loop_
_symmetry_equiv_pos_as_xyz
'x,y,z'
'-x,-y,-z'
'-x,-y,z'
'x,y,-z'
'x+1/2,-y+1/2,-z'
'-x+1/2,y+1/2,z'
'-x+1/2,y+1/2,-z'
'x+1/2,-y+1/2,z'
loop_
_atom_site_label
_atom_site_type_symbol
_atom_site_fract_x
_atom_site_fract_y
_atom_site_fract_z
Cd1 Cd 0.0819 0.0747 0.0000
Cd2 Cd 0.0957 0.6131 0.0000
Bi1 Bi 0.0256 0.2313 0.5000
Bi2 Bi 0.2427 0.3938 0.5000
P1 P 0.2117 0.2212 0.0000
P2 P 0.2177 0.4898 0.0000
O1 O 0.0111 0.3618 0.5000
O2 O 0.0155 0.8964 0.5000
```

Record 4
Structure and calculated X-ray diffraction stick pattern of PaAgO3 (a crystal structure in OQMD, relaxed with PBE; a wavelength of 1.5418 Å).
Peak positions follow from Bragg's law for the DFT cell and can differ from measured ones.

The 10 most intense peaks (10 to 80 degrees two-theta), low angle first:
21.1°, 4.212 Å, I 30; 29.6°, 3.019 Å, I 100; 30.4°, 2.939 Å, I 85; 42.9°, 2.106 Å, I 44; 52.0°, 1.759 Å, I 21; 53.5°, 1.712 Å, I 40; 54.0°, 1.697 Å, I 23; 61.4°, 1.510 Å, I 15; 70.1°, 1.343 Å, I 18; 71.4°, 1.321 Å, I 16

Structural model:
```
data_PaAgO3
_cell_length_a 5.8781
_cell_length_b 5.8781
_cell_length_c 15.0000
_cell_angle_alpha 90.00
_cell_angle_beta 90.00
_cell_angle_gamma 120.00
_symmetry_space_group_name_H-M 'R -3 c'
_symmetry_Int_Tables_number 167
_symmetry_space_group_name_Hall '-R 3 2"c'
loop_
_atom_site_label
_atom_site_type_symbol
_atom_site_fract_x
_atom_site_fract_y
_atom_site_fract_z
Pa1 Pa 0.0000 0.0000 0.0000
Ag1 Ag 0.0000 0.0000 0.2500
O1 O 0.0000 0.3904 0.2500
```